Record 1
Starting from a DFT-relaxed cell (GGA+U, Alexandria), the X-ray powder pattern of Na3NiPt3O8 was simulated for CuKα.
Kinematic intensities with the Lorentz-polarization factor, no thermal factor.

abc: 12.179 6.055 6.105
angles: 90.00 118.25 90.00
Space group C2/m (No. 12)
Asymmetric unit:
Na 0.000 0.000 0.000 [2 per cell]
Na 0.250 0.250 0.500 [4 per cell]
Ni 0.000 0.000 0.500 [2 per cell]
Pt 0.000 0.500 0.500 [2 per cell]
Pt 0.250 0.250 0.000 [4 per cell]
O 0.066 0.241 0.736 [8 per cell]
O 0.213 0.000 0.181 [4 per cell]
O 0.219 0.500 0.183 [4 per cell]

Most intense lines, 2θ from 10° to 80°, in order of rising 2θ:
d_spacing	Position (°2θ)	I (rel.)	(hkl)
5.233	16.9	100	2 0 -1
3.129	28.5	24	2 0 1
2.685	33.4	46	4 0 0
2.637	34.0	61	2 2 0
2.617	34.3	23	4 0 -2
2.148	42.1	49	2 2 -2
1.695	54.1	23	2 2 2
1.660	55.3	22	6 2 -2

=====

Record 2
Starting from a DFT-relaxed cell (GGA+U, Alexandria), the X-ray powder pattern of Na4PuNi3O8 was simulated for CuKα.
Kinematic intensities with the Lorentz-polarization factor, no thermal factor.

abc: 6.2465 6.2465 16.3224
angles: 90.00 90.00 120.00
Space group R-3m (No. 166, hexagonal axes)
Asymmetric unit:
Na 0.0000 0.0000 0.0000 [3 per cell]
Na 0.0000 0.5000 0.0000 [9 per cell]
Pu 0.0000 0.0000 0.5000 [3 per cell]
Ni 0.0000 0.5000 0.5000 [9 per cell]
O 0.0000 0.0000 0.2296 [6 per cell]
O 0.0106 0.5053 0.2378 [18 per cell]

Most intense lines, 2θ from 10° to 80°, in order of rising 2θ:
d_spacing	Position (°2θ)	I (rel.)	(hkl)
5.441	16.3	100	0 0 3
5.135	17.3	53	1 0 1
4.509	19.7	39	0 1 2
2.668	33.6	39	0 2 1
2.567	34.9	54	2 0 2
2.255	40.0	98	0 2 4
1.629	56.5	31	2 0 8
1.562	59.2	31	2 2 0

=====

Record 3
Starting from a DFT-relaxed cell (GGA+U, Alexandria), the X-ray powder pattern of Na3Ni3RuO8 was simulated for CuKα.
Kinematic intensities with the Lorentz-polarization factor, no thermal factor.

abc: 6.0701 6.0701 16.2831
angles: 90.00 90.00 120.00
Space group R-3m (No. 166, hexagonal axes)
Asymmetric unit:
Na 0.0000 0.5000 0.0000 [9 per cell]
Ni 0.0000 0.5000 0.5000 [9 per cell]
Ru 0.0000 0.0000 0.5000 [3 per cell]
O 0.0000 0.0000 0.2271 [6 per cell]
O 0.0238 0.5119 0.2327 [18 per cell]

Most intense lines, 2θ from 10° to 80°, in order of rising 2θ:
d_spacing	Position (°2θ)	I (rel.)	(hkl)
5.428	16.3	100	0 0 3
5.003	17.7	17	1 0 1
2.595	34.6	27	0 2 1
2.501	35.9	33	2 0 2
2.208	40.9	88	0 2 4
1.742	52.5	17	0 2 7
1.609	57.2	25	2 0 8
1.518	61.1	24	2 2 0

=====

Record 4
Starting from a DFT-relaxed cell (GGA+U, Alexandria), the X-ray powder pattern of Na2NiSbO4 was simulated for CuKα.
Kinematic intensities with the Lorentz-polarization factor, no thermal factor.

abc: 5.867 5.867 6.522
angles: 90.00 90.00 90.00
Space group I-4 (No. 82)
Asymmetric unit:
Na 0.000 0.000 0.000 [2 per cell]
Na 0.000 0.500 0.250 [2 per cell]
Ni 0.000 0.500 0.750 [2 per cell]
Sb 0.000 0.000 0.500 [2 per cell]
O 0.171 0.800 0.678 [8 per cell]

Most intense lines, 2θ from 10° to 80°, in order of rising 2θ:
d_spacing	Position (°2θ)	I (rel.)	(hkl)
4.362	20.4	100	1 0 1
2.934	30.5	47	2 0 0
2.564	35.0	98	1 1 2
2.434	36.9	33	1 2 1
2.074	43.6	33	2 2 0
1.674	54.8	14	1 2 3
1.613	57.1	51	1 3 2
1.425	65.5	16	2 0 4